# 1
Structure and theoretical powder diffractogram of Cu3Ag2 (a cell relaxed with GGA-PBE; a wavelength of 1.5418 Å).
Kinematic intensities with the Lorentz-polarization factor, no thermal factor.

Main lines, in order of falling intensity (2θ = 15–90°):
2.229 Å, I = 100
2.221 Å, I = 97
1.931 Å, I = 63
1.919 Å, I = 30
1.366 Å, I = 27
1.163 Å, I = 21
1.361 Å, I = 18
1.164 Å, I = 11
1.160 Å, I = 10
1.157 Å, I = 10

a b c (Å): 6.0615 3.8603 6.1165
angles (deg): 90.00 90.02 90.00
Element x y z (fractional)
Cu: 0.0510 0.2500 0.1372
Cu: 0.3459 0.7500 0.0459
Cu: 0.4432 0.2500 0.3287
Cu: 0.5568 0.7500 0.6713
Cu: 0.6541 0.2500 0.9541
Cu: 0.9490 0.7500 0.8628
Ag: 0.1628 0.7500 0.4381
Ag: 0.2629 0.2500 0.7572
Ag: 0.7371 0.7500 0.2428
Ag: 0.8372 0.2500 0.5619

---

# 2
Structure and theoretical powder diffractogram of Cu5Ag2 (a cell relaxed with GGA-PBE; a wavelength of 1.5418 Å).
Kinematic intensities with the Lorentz-polarization factor, no thermal factor.

Main lines, in order of falling intensity (2θ = 15–90°):
2.184 Å, I = 100
2.193 Å, I = 34
1.903 Å, I = 21
1.896 Å, I = 21
1.881 Å, I = 20
1.337 Å, I = 12
1.339 Å, I = 12
1.144 Å, I = 7
1.145 Å, I = 7
1.135 Å, I = 7

a b c (Å): 4.6193 4.6424 4.6431
angles (deg): 99.09 99.33 99.93
Element x y z (fractional)
Cu: 0.0000 0.0000 0.0000
Cu: 0.2829 0.5790 0.1354
Cu: 0.4410 0.8656 0.7320
Cu: 0.5590 0.1344 0.2680
Cu: 0.7171 0.4210 0.8646
Ag: 0.1562 0.2899 0.5750
Ag: 0.8438 0.7101 0.4250

---

# 3
Structure and theoretical powder diffractogram of Cu3Ag5 (a cell relaxed with GGA-PBE; a wavelength of 1.5418 Å).
Kinematic intensities with the Lorentz-polarization factor, no thermal factor.

Main lines, in order of falling intensity (2θ = 15–90°):
2.293 Å, I = 100
2.008 Å, I = 17
1.990 Å, I = 16
1.961 Å, I = 15
1.207 Å, I = 12
1.186 Å, I = 11
1.199 Å, I = 11
1.147 Å, I = 10
1.414 Å, I = 10
1.403 Å, I = 10

a b c (Å): 3.9211 4.0169 15.9214
angles (deg): 90.00 90.00 90.00
Element x y z (fractional)
Cu: 0.0000 0.0000 0.0000
Cu: 0.0000 0.5000 0.1209
Cu: 0.0000 0.5000 0.8791
Cu: 0.5000 0.0000 0.3791
Cu: 0.5000 0.0000 0.6209
Cu: 0.5000 0.5000 0.5000
Ag: 0.0000 0.0000 0.2508
Ag: 0.0000 0.0000 0.5000
Ag: 0.0000 0.0000 0.7492
Ag: 0.0000 0.5000 0.3794
Ag: 0.0000 0.5000 0.6206
Ag: 0.5000 0.0000 0.1206
Ag: 0.5000 0.0000 0.8794
Ag: 0.5000 0.5000 0.0000
Ag: 0.5000 0.5000 0.2492
Ag: 0.5000 0.5000 0.7508

---

# 4
Structure and theoretical powder diffractogram of Cu3Ag7 (a cell relaxed with GGA-PBE; a wavelength of 1.5418 Å).
Kinematic intensities with the Lorentz-polarization factor, no thermal factor.

Main lines, in order of falling intensity (2θ = 15–90°):
2.315 Å, I = 100
2.018 Å, I = 33
1.215 Å, I = 23
1.413 Å, I = 18
1.980 Å, I = 14
1.427 Å, I = 10
1.158 Å, I = 9
1.198 Å, I = 9
2.825 Å, I = 3
2.619 Å, I = 2

a b c (Å): 4.0350 10.1047 10.1047
angles (deg): 23.04 90.00 90.00
Element x y z (fractional)
Cu: 0.0000 0.0000 0.0000
Cu: 0.0000 0.1963 0.1963
Cu: 0.5000 0.6961 0.6961
Ag: 0.0000 0.3987 0.3987
Ag: 0.0000 0.6033 0.6033
Ag: 0.0000 0.7889 0.7889
Ag: 0.5000 0.1034 0.1034
Ag: 0.5000 0.2892 0.2892
Ag: 0.5000 0.5013 0.5013
Ag: 0.5000 0.8987 0.8987

---

# 5
Structure and theoretical powder diffractogram of Cu9Ag11 (a cell relaxed with GGA-PBE; a wavelength of 1.5418 Å).
Kinematic intensities with the Lorentz-polarization factor, no thermal factor.

Main lines, in order of falling intensity (2θ = 15–90°):
2.252 Å, I = 100
2.015 Å, I = 69
2.287 Å, I = 52
2.293 Å, I = 50
1.879 Å, I = 25
1.376 Å, I = 16
1.373 Å, I = 16
1.198 Å, I = 12
1.199 Å, I = 11
1.407 Å, I = 11

a b c (Å): 9.6142 9.6142 11.5528
angles (deg): 98.81 98.81 16.83
Element x y z (fractional)
Cu: 0.0000 0.0000 0.0000
Cu: 0.0003 0.0003 0.2594
Cu: 0.1970 0.1970 0.0613
Cu: 0.2061 0.2061 0.2973
Cu: 0.4059 0.4059 0.8689
Cu: 0.5970 0.5970 0.9246
Cu: 0.5991 0.5991 0.6507
Cu: 0.7909 0.7909 0.1999
Cu: 0.7920 0.7920 0.4397
Ag: 0.0021 0.0021 0.5048
Ag: 0.0041 0.0041 0.7628
Ag: 0.1855 0.1855 0.8118
Ag: 0.2041 0.2041 0.5597
Ag: 0.3924 0.3924 0.3470
Ag: 0.3925 0.3925 0.5979
Ag: 0.4062 0.4062 0.1090
Ag: 0.5973 0.5973 0.1540
Ag: 0.6053 0.6053 0.3966
Ag: 0.7966 0.7966 0.9655
Ag: 0.8032 0.8032 0.7265

---

# 6
Structure and theoretical powder diffractogram of Cu3Ag2 (a cell relaxed with GGA-PBE; a wavelength of 1.5418 Å).
Kinematic intensities with the Lorentz-polarization factor, no thermal factor.

Main lines, in order of falling intensity (2θ = 15–90°):
2.165 Å, I = 100
2.052 Å, I = 99
2.231 Å, I = 64
2.248 Å, I = 38
2.488 Å, I = 28
2.093 Å, I = 21
2.285 Å, I = 19
1.192 Å, I = 15
1.228 Å, I = 15
1.410 Å, I = 15

a b c (Å): 6.8920 2.8201 7.3695
angles (deg): 90.00 95.85 90.00
Element x y z (fractional)
Cu: 0.0808 0.2500 0.1240
Cu: 0.1890 0.2500 0.7666
Cu: 0.3495 0.7500 0.0174
Cu: 0.6505 0.2500 0.9826
Cu: 0.8110 0.7500 0.2334
Cu: 0.9192 0.7500 0.8760
Ag: 0.1627 0.7500 0.4398
Ag: 0.4885 0.2500 0.3159
Ag: 0.5115 0.7500 0.6841
Ag: 0.8373 0.2500 0.5602

---

# 7
Structure and theoretical powder diffractogram of Cu3Ag2 (a cell relaxed with GGA-PBE; a wavelength of 1.5418 Å).
Kinematic intensities with the Lorentz-polarization factor, no thermal factor.

Main lines, in order of falling intensity (2θ = 15–90°):
2.220 Å, I = 100
1.955 Å, I = 40
1.174 Å, I = 23
2.377 Å, I = 16
1.382 Å, I = 12
1.349 Å, I = 10
1.421 Å, I = 9
2.069 Å, I = 8
1.863 Å, I = 8
1.199 Å, I = 7

a b c (Å): 2.7650 2.7650 18.6248
angles (deg): 90.00 90.00 90.00
Element x y z (fractional)
Cu: 0.2500 0.2500 0.0431
Cu: 0.2500 0.2500 0.6618
Cu: 0.2500 0.2500 0.8708
Cu: 0.7500 0.7500 0.1292
Cu: 0.7500 0.7500 0.3382
Cu: 0.7500 0.7500 0.9569
Ag: 0.2500 0.2500 0.2345
Ag: 0.2500 0.2500 0.4406
Ag: 0.7500 0.7500 0.5594
Ag: 0.7500 0.7500 0.7655

---

# 8
Structure and theoretical powder diffractogram of Cu4Ag5 (a cell relaxed with GGA-PBE; a wavelength of 1.5418 Å).
Kinematic intensities with the Lorentz-polarization factor, no thermal factor.

Main lines, in order of falling intensity (2θ = 15–90°):
2.285 Å, I = 100
2.250 Å, I = 98
2.005 Å, I = 69
1.375 Å, I = 32
1.889 Å, I = 25
1.194 Å, I = 22
1.210 Å, I = 22
1.401 Å, I = 12
1.435 Å, I = 11
1.143 Å, I = 9

a b c (Å): 6.0100 6.0100 8.6089
angles (deg): 103.77 103.77 26.95
Element x y z (fractional)
Cu: 0.1679 0.1679 0.0404
Cu: 0.1714 0.1714 0.4029
Cu: 0.8286 0.8286 0.5971
Cu: 0.8321 0.8321 0.9596
Ag: 0.1809 0.1809 0.7308
Ag: 0.4871 0.4871 0.8305
Ag: 0.5000 0.5000 0.5000
Ag: 0.5129 0.5129 0.1695
Ag: 0.8191 0.8191 0.2692

---

# 9
Structure and theoretical powder diffractogram of CuAg9 (a cell relaxed with GGA-PBE; a wavelength of 1.5418 Å).
Kinematic intensities with the Lorentz-polarization factor, no thermal factor.

Main lines, in order of falling intensity (2θ = 15–90°):
2.374 Å, I = 100
2.056 Å, I = 48
1.453 Å, I = 25
1.239 Å, I = 23
1.241 Å, I = 12
1.188 Å, I = 5
1.457 Å, I = 5
1.186 Å, I = 5

a b c (Å): 7.6884 7.6884 5.0364
angles (deg): 96.21 96.21 141.77
Element x y z (fractional)
Cu: 0.0000 0.0000 0.0000
Ag: 0.0973 0.9027 0.5000
Ag: 0.1969 0.8031 0.0000
Ag: 0.2997 0.7003 0.5000
Ag: 0.4024 0.5976 0.0000
Ag: 0.5000 0.5000 0.5000
Ag: 0.5976 0.4024 0.0000
Ag: 0.7003 0.2997 0.5000
Ag: 0.8031 0.1969 0.0000
Ag: 0.9027 0.0973 0.5000

---

# 10
Structure and theoretical powder diffractogram of Cu4Ag5 (a cell relaxed with GGA-PBE; a wavelength of 1.5418 Å).
Kinematic intensities with the Lorentz-polarization factor, no thermal factor.

Main lines, in order of falling intensity (2θ = 15–90°):
2.263 Å, I = 100
2.037 Å, I = 50
2.284 Å, I = 34
1.840 Å, I = 15
1.369 Å, I = 11
1.361 Å, I = 10
1.214 Å, I = 8
1.433 Å, I = 8
1.222 Å, I = 8
1.211 Å, I = 8

a b c (Å): 7.1948 7.1948 7.8866
angles (deg): 119.76 119.76 22.98
Element x y z (fractional)
Cu: 0.0000 0.0000 0.0000
Cu: 0.4494 0.4494 0.6923
Cu: 0.5447 0.5447 0.3058
Cu: 0.7987 0.7987 0.6848
Ag: 0.1192 0.1192 0.6473
Ag: 0.2165 0.2165 0.3559
Ag: 0.3380 0.3380 0.9996
Ag: 0.6611 0.6611 0.9990
Ag: 0.8938 0.8938 0.3579

---

# 11
Structure and theoretical powder diffractogram of CuAg9 (a cell relaxed with GGA-PBE; a wavelength of 1.5418 Å).
Kinematic intensities with the Lorentz-polarization factor, no thermal factor.

Main lines, in order of falling intensity (2θ = 15–90°):
2.371 Å, I = 100
2.058 Å, I = 33
1.240 Å, I = 23
1.451 Å, I = 19
2.045 Å, I = 16
1.235 Å, I = 11
1.455 Å, I = 10
1.186 Å, I = 10
2.676 Å, I = 1
1.384 Å, I = 1

a b c (Å): 10.4301 10.4301 4.1147
angles (deg): 90.00 90.00 157.24
Element x y z (fractional)
Cu: 0.0000 0.0000 0.0000
Ag: 0.0963 0.9037 0.5000
Ag: 0.1991 0.8009 0.0000
Ag: 0.3010 0.6990 0.5000
Ag: 0.4038 0.5962 0.0000
Ag: 0.5000 0.5000 0.5000
Ag: 0.5962 0.4038 0.0000
Ag: 0.6990 0.3010 0.5000
Ag: 0.8009 0.1991 0.0000
Ag: 0.9037 0.0963 0.5000

---

# 12
Structure and theoretical powder diffractogram of Cu4Ag5 (a cell relaxed with GGA-PBE; a wavelength of 1.5418 Å).
Kinematic intensities with the Lorentz-polarization factor, no thermal factor.

Main lines, in order of falling intensity (2θ = 15–90°):
2.233 Å, I = 100
2.070 Å, I = 72
2.302 Å, I = 52
2.293 Å, I = 47
1.786 Å, I = 21
1.354 Å, I = 15
1.351 Å, I = 13
1.215 Å, I = 12
1.430 Å, I = 12
1.213 Å, I = 11

a b c (Å): 7.1543 7.1543 7.7383
angles (deg): 116.68 116.68 23.06
Element x y z (fractional)
Cu: 0.0000 0.0000 0.0000
Cu: 0.3464 0.3464 0.0168
Cu: 0.4612 0.4612 0.6954
Cu: 0.5317 0.5317 0.2939
Ag: 0.1076 0.1076 0.6308
Ag: 0.2014 0.2014 0.3347
Ag: 0.6708 0.6708 0.9898
Ag: 0.7992 0.7992 0.6951
Ag: 0.8826 0.8826 0.3475